Computed X-ray powder pattern of Sr4Li4Nb5FeO20 for Cu Ka, from DFT lattice parameters and positions (GGA+U).

Top 6 peaks for 5° ≤ 2θ ≤ 70°, low angle first:
| two_theta | Rel. int. |
| --- | --- |
| 6.65 | 70 |
| 27.90 | 72 |
| 31.61 | 75 |
| 32.50 | 100 |
| 45.31 | 59 |
| 56.86 | 47 |

Structure:
```
34
Lattice="2.8305 -13.2891 0.0000 2.8305 13.2891 0.0000 -0.0002 0.0000 5.6613" Properties=species:S:1:pos:R:3 pbc="T T T"
Sr 2.8305 11.2678 0.0000
Sr 2.8304 2.0214 2.8307
Sr 2.8304 -2.0214 2.8307
Sr 2.8305 -11.2678 0.0000
Li 1.4230 6.6458 4.2194
Li 4.2378 6.6458 1.4419
Li 1.4230 -6.6458 4.2194
Li 4.2378 -6.6458 1.4419
Nb 2.8304 9.1748 2.8307
Nb 2.8305 4.2018 0.0000
Nb 2.8305 0.0000 0.0000
Nb 2.8305 -4.2018 0.0000
Nb 2.8304 -9.1748 2.8307
Fe -0.0001 0.0000 2.8307
O 2.8304 11.2576 2.8307
O 1.3567 3.9628 1.3408
O 1.4911 3.9633 4.1865
O 1.1891 0.0000 4.4965
O 2.8304 7.2579 2.8307
O 2.8305 6.0875 0.0000
O 1.6657 0.0000 1.6412
O 1.3567 -3.9628 1.3408
O 1.4911 -3.9633 4.1865
O 2.8305 2.0125 0.0000
O 2.8305 -2.0125 0.0000
O 4.1697 3.9633 1.4748
O 4.3040 3.9628 4.3205
O 3.9951 0.0000 4.0202
O 2.8305 -6.0875 0.0000
O 2.8304 -7.2579 2.8307
O 4.4716 0.0000 1.1648
O 4.1697 -3.9633 1.4748
O 4.3040 -3.9628 4.3205
O 2.8304 -11.2576 2.8307
```